The following is a calculated X-ray powder pattern of LiInAgPt. It was derived from a cell relaxed with GGA-PBE, using CuKα.
No peak broadening, texture or thermal motion is included.

Principal peaks in the range 10 to 90 degrees two-theta, low angle first:
2θ 24.1, rel. 35
2θ 24.2, rel. 15
2θ 29.5, rel. 19
2θ 38.5, rel. 100
2θ 42.2, rel. 39
2θ 49.2, rel. 19
2θ 49.6, rel. 12
2θ 61.3, rel. 13
2θ 67.1, rel. 19
2θ 74.7, rel. 28
2θ 82.6, rel. 11
2θ 85.5, rel. 10

Crystal structure
Cell: 4.2803 4.2803 7.3529 Å, 90.00 90.00 90.00°
Fractional positions:
Li  0.0000  0.0000  0.0000
Li  0.5000  0.5000  0.5000
In  0.0000  0.0000  0.5000
In  0.5000  0.5000  0.0000
Ag  0.0000  0.5000  0.2500
Ag  0.5000  0.0000  0.7500
Pt  0.0000  0.5000  0.7500
Pt  0.5000  0.0000  0.2500

=====

The following is a calculated X-ray powder pattern of Li2InAg2Sn. It was derived from a cell relaxed with GGA-PBE, using CuKα.
No peak broadening, texture or thermal motion is included.

Principal peaks in the range 10 to 90 degrees two-theta, low angle first:
2θ 21.4, rel. 92
2θ 29.8, rel. 57
2θ 37.0, rel. 55
2θ 37.6, rel. 100
2θ 43.7, rel. 14
2θ 48.7, rel. 86
2θ 53.8, rel. 18
2θ 67.4, rel. 18
2θ 67.8, rel. 17
2θ 74.7, rel. 26
2θ 75.8, rel. 23
2θ 87.8, rel. 16

Crystal structure
Cell: 4.7870 4.7870 6.0001 Å, 90.00 90.00 120.00°
Fractional positions:
Li  0.0000  0.0000  0.2492
Li  0.0000  0.0000  0.7508
In  0.3333  0.6667  0.5000
Ag  0.3333  0.6667  0.0000
Ag  0.6667  0.3333  0.5000
Sn  0.6667  0.3333  0.0000

=====

The following is a calculated X-ray powder pattern of LiYInAg. It was derived from a cell relaxed with GGA-PBE, using CuKα.
No peak broadening, texture or thermal motion is included.

Principal peaks in the range 10 to 90 degrees two-theta, low angle first:
2θ 22.3, rel. 28
2θ 25.8, rel. 10
2θ 36.9, rel. 100
2θ 43.5, rel. 14
2θ 53.1, rel. 17
2θ 58.3, rel. 6
2θ 60.0, rel. 4
2θ 66.4, rel. 33
2θ 71.0, rel. 4
2θ 78.4, rel. 10
2θ 82.8, rel. 4
2θ 89.9, rel. 15

Crystal structure
Cell: 4.8793 4.8793 6.8954 Å, 90.00 90.00 90.00°
Fractional positions:
Li  0.0000  0.0000  0.0000
Li  0.5000  0.5000  0.5000
Y  0.0000  0.5000  0.7501
Y  0.5000  0.0000  0.2499
In  0.0000  0.5000  0.2491
In  0.5000  0.0000  0.7509
Ag  0.0000  0.0000  0.5000
Ag  0.5000  0.5000  0.0000

=====

The following is a calculated X-ray powder pattern of MgInAg2. It was derived from a cell relaxed with GGA-PBE, using CuKα.
No peak broadening, texture or thermal motion is included.

Principal peaks in the range 10 to 90 degrees two-theta, low angle first:
2θ 19.4, rel. 30
2θ 31.1, rel. 19
2θ 36.6, rel. 100
2θ 37.3, rel. 95
2θ 39.5, rel. 81
2θ 49.2, rel. 21
2θ 56.0, rel. 14
2θ 58.1, rel. 12
2θ 64.9, rel. 35
2θ 69.2, rel. 29
2θ 70.6, rel. 27
2θ 77.8, rel. 10

Crystal structure
Cell: 6.5659 7.4030 6.3551 Å, 90.00 90.00 90.00°
Fractional positions:
Mg  0.0000  0.2500  0.9998
Mg  0.0000  0.7500  0.0002
Mg  0.5000  0.2500  0.5002
Mg  0.5000  0.7500  0.4998
In  0.0000  0.2500  0.5005
In  0.0000  0.7500  0.4995
In  0.5000  0.2500  0.9995
In  0.5000  0.7500  0.0005
Ag  0.2500  0.0005  0.2500
Ag  0.2500  0.4995  0.2500
Ag  0.2500  0.5005  0.7500
Ag  0.2500  0.9995  0.7500
Ag  0.7500  0.0005  0.2500
Ag  0.7500  0.4995  0.2500
Ag  0.7500  0.5005  0.7500
Ag  0.7500  0.9995  0.7500

=====

The following is a calculated X-ray powder pattern of Pr3Mg3InAgPd. It was derived from a cell relaxed with GGA-PBE, using CuKα.
No peak broadening, texture or thermal motion is included.

Principal peaks in the range 10 to 90 degrees two-theta, low angle first:
2θ 22.2, rel. 36
2θ 25.7, rel. 22
2θ 31.0, rel. 78
2θ 33.7, rel. 100
2θ 34.3, rel. 27
2θ 39.0, rel. 31
2θ 40.7, rel. 32
2θ 43.5, rel. 21
2θ 47.4, rel. 17
2θ 52.5, rel. 22
2θ 59.9, rel. 17
2θ 62.6, rel. 26

Crystal structure
Cell: 7.9929 7.9929 4.1592 Å, 90.00 90.00 120.00°
Fractional positions:
Pr  0.0242  0.5982  0.0000
Pr  0.4018  0.4260  0.0000
Pr  0.5740  0.9758  0.0000
Mg  0.2449  0.0029  0.5000
Mg  0.7580  0.7551  0.5000
Mg  0.9971  0.2420  0.5000
In  0.6667  0.3333  0.5000
Ag  0.0000  0.0000  0.0000
Pd  0.3333  0.6667  0.5000

=====

The following is a calculated X-ray powder pattern of Tm3MgIn3AgPt. It was derived from a cell relaxed with GGA-PBE, using CuKα.
No peak broadening, texture or thermal motion is included.

Principal peaks in the range 10 to 90 degrees two-theta, low angle first:
2θ 12.8, rel. 46
2θ 32.8, rel. 100
2θ 34.2, rel. 45
2θ 35.3, rel. 77
2θ 38.9, rel. 47
2θ 42.1, rel. 39
2θ 47.2, rel. 14
2θ 48.8, rel. 19
2θ 60.9, rel. 17
2θ 63.5, rel. 37
2θ 64.1, rel. 21
2θ 81.4, rel. 10

Crystal structure
Cell: 8.0147 8.0147 3.7337 Å, 90.00 90.00 120.00°
Fractional positions:
Tm  0.0817  0.7093  0.0000
Tm  0.2907  0.3724  0.0000
Tm  0.6276  0.9183  0.0000
Mg  0.0000  0.0000  0.5000
In  0.3869  0.0710  0.5000
In  0.6841  0.6131  0.5000
In  0.9290  0.3159  0.5000
Ag  0.6667  0.3333  0.0000
Pt  0.3333  0.6667  0.5000

=====

The following is a calculated X-ray powder pattern of Sr8In4Ag3N5. It was derived from a cell relaxed with GGA-PBE, using CuKα.
No peak broadening, texture or thermal motion is included.

Principal peaks in the range 10 to 90 degrees two-theta, low angle first:
2θ 13.6, rel. 10
2θ 30.6, rel. 100
2θ 31.6, rel. 89
2θ 33.0, rel. 93
2θ 41.6, rel. 28
2θ 45.9, rel. 20
2θ 48.7, rel. 12
2θ 54.1, rel. 36
2θ 56.8, rel. 33
2θ 58.6, rel. 23
2θ 63.7, rel. 12
2θ 69.1, rel. 16

Crystal structure
Cell: 11.5687 11.5687 11.5687 Å, 160.33 111.51 72.04°
Fractional positions:
Sr  0.0593  0.2103  0.8489
Sr  0.2469  0.4019  0.8449
Sr  0.3614  0.2103  0.1511
Sr  0.4430  0.5981  0.8449
Sr  0.5570  0.4019  0.1551
Sr  0.6386  0.7897  0.8489
Sr  0.7531  0.5981  0.1551
Sr  0.9407  0.7897  0.1511
In  0.0841  0.5841  0.5000
In  0.1506  0.0000  0.1506
In  0.8494  0.0000  0.8494
In  0.9159  0.4159  0.5000
Ag  0.3084  0.8084  0.5000
Ag  0.5000  0.0000  0.5000
Ag  0.6916  0.1916  0.5000
N  0.1446  0.8067  0.3380
N  0.4687  0.8067  0.6620
N  0.5000  0.5000  0.0000
N  0.5313  0.1933  0.3380
N  0.8554  0.1933  0.6620

=====

The following is a calculated X-ray powder pattern of Na2YScIn2Ag2. It was derived from a cell relaxed with GGA-PBE, using CuKα.
No peak broadening, texture or thermal motion is included.

Principal peaks in the range 10 to 90 degrees two-theta, low angle first:
2θ 22.0, rel. 24
2θ 36.3, rel. 100
2θ 42.9, rel. 12
2θ 52.2, rel. 5
2θ 52.4, rel. 11
2θ 57.4, rel. 5
2θ 65.3, rel. 11
2θ 65.4, rel. 22
2θ 77.1, rel. 7
2θ 77.2, rel. 3
2θ 88.2, rel. 5
2θ 88.5, rel. 10

Crystal structure
Cell: 4.9403 4.9403 7.0058 Å, 90.00 90.00 90.00°
Fractional positions:
Na  0.0000  0.5000  0.2391
Na  0.5000  0.0000  0.7609
Y  0.0000  0.0000  0.5000
Sc  0.5000  0.5000  0.0000
In  0.0000  0.0000  0.0000
In  0.5000  0.5000  0.5000
Ag  0.0000  0.5000  0.7611
Ag  0.5000  0.0000  0.2389